Calculated powder XRD pattern of VPb3Cl8 for λ = 1.5418 Å (Cu Kα), from a crystal structure in Alexandria, relaxed with PBE.
Intensities are scaled so that the largest is 100.

Crystal structure
Lattice parameters (Å, degrees): 7.323 7.323 8.154 90.00 90.00 112.64
Fractional coordinates of all 12 atoms:
V  0.000  0.000  0.000
Pb  0.000  0.000  0.500
Pb  0.000  0.500  0.241
Pb  0.500  0.000  0.759
Cl  0.205  0.795  0.000
Cl  0.211  0.231  0.217
Cl  0.231  0.211  0.783
Cl  0.239  0.761  0.500
Cl  0.761  0.239  0.500
Cl  0.769  0.789  0.783
Cl  0.789  0.769  0.217
Cl  0.795  0.205  0.000

Principal peaks in the range 2θ = 10–80°, sorted by position:
two_theta	I/Imax
13.1	47
17.0	100
26.3	28
26.9	33
29.3	30
31.1	55
35.6	17
35.7	17
41.5	22
43.3	39